Computed powder diffractogram
Compound: Na2F13
Radiation: CuKα
Structure: a cell relaxed with PBE
Kinematic intensities with the Lorentz-polarization factor, no thermal factor.

Top 10 peaks for 2θ from 5° to 70°, most intense first:
2θ/deg, d_spacing, I_rel
34.5, 2.597, 100
33.9, 2.641, 90
39.9, 2.260, 46
40.5, 2.226, 39
32.5, 2.755, 33
32.9, 2.719, 32
27.2, 3.273, 30
29.3, 3.043, 29
30.3, 2.952, 25
40.7, 2.216, 25

Crystal structure
Lattice parameters (Å, degrees): 6.0090 6.2540 6.6908 86.84 65.90 71.95
Fractional positions:
1 Na 0.1463 0.3092 0.2488
2 Na 0.8537 0.6908 0.7512
3 F 0.0653 0.0680 0.5518
4 F 0.0878 0.7981 0.9373
5 F 0.2505 0.4814 0.4785
6 F 0.2502 0.5581 0.9250
7 F 0.2806 0.1989 0.6070
8 F 0.5000 0.0000 0.0000
9 F 0.4999 0.2358 0.8546
10 F 0.5001 0.7642 0.1454
11 F 0.7194 0.8011 0.3930
12 F 0.7498 0.4419 0.0750
13 F 0.7495 0.5186 0.5215
14 F 0.9122 0.2019 0.0627
15 F 0.9347 0.9320 0.4482